Entry 1:
Diffraction record for LaPm6Sc3. The powder diffraction line list is theoretical, not measured: it uses DFT lattice parameters and positions (GGA-PBE) and Cu Kα, 1.54184 Å.
Intensities are scaled so that the largest is 100.

Peak list (6 most intense, 15 to 90 degrees two-theta, sorted by position)
- d 3.033, I 100
- d 2.827, I 93
- d 2.068, I 34
- d 1.669, I 34
- d 1.632, I 18
- d 1.595, I 24

Atomic structure:
```
10
Lattice="4.896 2.827 3.863 -4.896 2.827 3.863 0.000 -5.654 3.863" Properties=species:S:1:pos:R:3 pbc="T T T"
La 0.000 0.000 0.000
Pm -1.659 -2.781 3.863
Pm -3.246 0.000 5.795
Pm -1.579 2.827 3.863
Pm 1.623 -2.811 5.795
Pm -1.659 2.781 7.727
Pm 1.623 2.811 5.795
Sc 0.000 0.000 3.031
Sc 0.000 0.000 5.795
Sc 0.000 0.000 8.559
```

Entry 2:
Diffraction record for La5PmSm2Sc. The powder diffraction line list is theoretical, not measured: it uses DFT lattice parameters and positions (GGA-PBE) and Cu Kα, 1.54184 Å.
Intensities are scaled so that the largest is 100.

Peak list (6 most intense, 15 to 90 degrees two-theta, sorted by position)
- d 3.599, I 33
- d 3.228, I 56
- d 2.925, I 100
- d 2.887, I 32
- d 2.786, I 51
- d 2.216, I 24

Atomic structure:
```
18
Lattice="9.130 0.000 0.000 0.000 9.130 0.000 0.000 0.000 7.619" Properties=species:S:1:pos:R:3 pbc="T T T"
La 0.000 0.000 0.000
La 1.904 2.661 2.155
La 1.904 2.661 5.464
La 2.661 7.227 2.155
La 2.661 7.227 5.464
La 4.565 4.565 0.000
La 6.469 1.904 2.155
La 6.469 1.904 5.464
La 7.227 6.469 2.155
La 7.227 6.469 5.464
Pm 0.000 0.000 3.810
Pm 4.565 4.565 3.810
Sm 1.042 5.607 0.000
Sm 3.523 1.042 0.000
Sm 5.607 8.088 0.000
Sm 8.088 3.523 0.000
Sc 0.000 4.565 3.810
Sc 4.565 0.000 3.810
```

Repeat the first record exactly.
Diffraction record for LaPm6Sc3. The powder diffraction line list is theoretical, not measured: it uses DFT lattice parameters and positions (GGA-PBE) and Cu Kα, 1.54184 Å.
Intensities are scaled so that the largest is 100.

Peak list (6 most intense, 15 to 90 degrees two-theta, sorted by position)
- d 3.033, I 100
- d 2.827, I 93
- d 2.068, I 34
- d 1.669, I 34
- d 1.632, I 18
- d 1.595, I 24

Atomic structure:
```
10
Lattice="4.896 2.827 3.863 -4.896 2.827 3.863 0.000 -5.654 3.863" Properties=species:S:1:pos:R:3 pbc="T T T"
La 0.000 0.000 0.000
Pm -1.659 -2.781 3.863
Pm -3.246 0.000 5.795
Pm -1.579 2.827 3.863
Pm 1.623 -2.811 5.795
Pm -1.659 2.781 7.727
Pm 1.623 2.811 5.795
Sc 0.000 0.000 3.031
Sc 0.000 0.000 5.795
Sc 0.000 0.000 8.559
```